Starting from DFT lattice parameters and positions (PBE+U), the PXRD pattern of La3MnO7 was simulated for CuKα.

Crystal structure
Cell lengths 5.4241, 5.3941, 21.1133 Å; angles 90.00, 104.73, 90.00 degrees
Element x y z (fractional)
La1 0.0707 0.2447 0.3229
La2 0.0707 0.2553 0.8229
La3 0.2493 0.2499 0.9996
La4 0.2493 0.2501 0.4996
La5 0.4178 0.2458 0.6776
La6 0.4178 0.2542 0.1776
La7 0.5822 0.7458 0.8224
La8 0.5822 0.7542 0.3224
La9 0.7507 0.7501 0.0004
La10 0.7507 0.7499 0.5004
La11 0.9293 0.7447 0.1771
La12 0.9293 0.7553 0.6771
Mn1 0.3495 0.7461 0.5949
Mn2 0.3495 0.7539 0.0949
Mn3 0.6505 0.2461 0.9051
Mn4 0.6505 0.2539 0.4051
O1 0.0134 0.7290 0.7881
O2 0.0134 0.7710 0.2881
O3 0.0985 0.5054 0.0900
O4 0.0985 0.9946 0.5900
O5 0.1028 0.5037 0.5965
O6 0.1028 0.9963 0.0965
O7 0.2790 0.7272 0.5054
O8 0.2790 0.7728 0.0054
O9 0.4021 0.0020 0.8964
O10 0.4021 0.4980 0.3964
O11 0.4096 0.0037 0.4036
O12 0.4096 0.4963 0.9036
O13 0.4344 0.7337 0.1999
O14 0.4344 0.7663 0.6999
O15 0.5656 0.2337 0.3001
O16 0.5656 0.2663 0.8001
O17 0.5904 0.5037 0.0964
O18 0.5904 0.9963 0.5964
O19 0.5979 0.5020 0.6036
O20 0.5979 0.9980 0.1036
O21 0.7210 0.2272 0.9946
O22 0.7210 0.2728 0.4946
O23 0.8972 0.0037 0.9035
O24 0.8972 0.4963 0.4035
O25 0.9015 0.0054 0.4100
O26 0.9015 0.4946 0.9100
O27 0.9866 0.2290 0.7119
O28 0.9866 0.2710 0.2119

Peak list (12 most intense, 15 to 90 degrees two-theta, by angle)
| 2θ (°) | d/Å | I/Imax |
| --- | --- | --- |
| 23.67 | 3.759 | 59 |
| 26.19 | 3.403 | 30 |
| 26.74 | 3.334 | 16 |
| 32.06 | 2.792 | 100 |
| 33.03 | 2.712 | 38 |
| 33.22 | 2.697 | 37 |
| 38.82 | 2.320 | 18 |
| 42.57 | 2.124 | 16 |
| 42.75 | 2.115 | 46 |
| 47.55 | 1.912 | 43 |
| 55.00 | 1.670 | 28 |
| 58.62 | 1.575 | 19 |

=====

Starting from DFT lattice parameters and positions (PBE+U), the PXRD pattern of MgV4Cr2O12 was simulated for CuKα.

Crystal structure
Cell lengths 5.6408, 6.8216, 7.0977 Å; angles 80.22, 74.19, 70.96 degrees
Element x y z (fractional)
Mg1 0.0000 0.0000 0.0000
V1 0.0449 0.4473 0.1134
V2 0.0560 0.8712 0.5038
V3 0.4924 0.0952 0.3261
V4 0.5275 0.6437 0.9045
Cr1 0.0523 0.3359 0.6310
Cr2 0.5418 0.1755 0.7954
O1 0.0429 0.6300 0.6125
O2 0.1033 0.2984 0.3459
O3 0.1488 0.2576 0.9094
O4 0.1908 0.6810 0.0142
O5 0.3751 0.8494 0.3978
O6 0.4288 0.2368 0.5484
O7 0.5210 0.8890 0.7988
O8 0.6206 0.1390 0.0525
O9 0.6494 0.4464 0.7396
O10 0.6964 0.5810 0.0856
O11 0.8858 0.9522 0.3179
O12 0.9486 0.0554 0.6961

Peak list (12 most intense, 15 to 90 degrees two-theta, by angle)
| 2θ (°) | d/Å | I/Imax |
| --- | --- | --- |
| 18.95 | 4.683 | 19 |
| 19.84 | 4.475 | 32 |
| 27.82 | 3.207 | 83 |
| 28.03 | 3.183 | 100 |
| 28.58 | 3.123 | 50 |
| 29.68 | 3.010 | 41 |
| 34.60 | 2.593 | 69 |
| 34.75 | 2.582 | 19 |
| 45.27 | 2.003 | 18 |
| 51.74 | 1.767 | 29 |
| 52.17 | 1.753 | 14 |
| 53.95 | 1.700 | 24 |

=====

Starting from DFT lattice parameters and positions (PBE+U), the PXRD pattern of Li3FePCO7 was simulated for CuKα.

Crystal structure
Cell lengths 5.0717, 6.5994, 8.4677 Å; angles 90.00, 92.49, 90.00 degrees
Element x y z (fractional)
Li1 0.0367 0.0000 0.0010
Li2 0.4238 0.3103 0.8231
Li3 0.4383 0.1274 0.4784
Li4 0.5617 0.6274 0.5216
Li5 0.5762 0.8103 0.1769
Li6 0.9633 0.5000 0.9990
Fe1 0.0339 0.7698 0.7188
Fe2 0.9661 0.2698 0.2812
P1 0.0501 0.7703 0.3303
P2 0.9499 0.2703 0.6697
C1 0.4698 0.2787 0.1315
C2 0.5302 0.7787 0.8685
O1 0.0213 0.0810 0.7707
O2 0.0755 0.4515 0.7658
O3 0.0871 0.2484 0.5093
O4 0.2213 0.2606 0.0854
O5 0.3509 0.8018 0.3617
O6 0.3556 0.8044 0.9738
O7 0.4617 0.7682 0.7197
O8 0.5383 0.2682 0.2803
O9 0.6444 0.3044 0.0262
O10 0.6491 0.3018 0.6383
O11 0.7787 0.7606 0.9146
O12 0.9129 0.7484 0.4907
O13 0.9245 0.9515 0.2342
O14 0.9787 0.5810 0.2293

Peak list (12 most intense, 15 to 90 degrees two-theta, by angle)
| 2θ (°) | d/Å | I/Imax |
| --- | --- | --- |
| 17.04 | 5.203 | 31 |
| 17.50 | 5.067 | 82 |
| 21.00 | 4.230 | 43 |
| 25.00 | 3.561 | 17 |
| 26.86 | 3.319 | 25 |
| 27.02 | 3.300 | 100 |
| 28.06 | 3.180 | 16 |
| 34.36 | 2.610 | 19 |
| 35.43 | 2.533 | 28 |
| 39.67 | 2.272 | 19 |
| 42.42 | 2.131 | 28 |
| 56.56 | 1.627 | 12 |

=====

Starting from DFT lattice parameters and positions (PBE+U), the PXRD pattern of Fe2NiO4 was simulated for CuKα.

Crystal structure
Cell lengths 5.9963, 5.9963, 5.9963 Å; angles 60.00, 60.00, 60.00 degrees
Element x y z (fractional)
Fe1 0.0000 0.0000 0.0000
Fe2 0.0000 0.0000 0.5000
Fe3 0.0000 0.5000 0.0000
Fe4 0.5000 0.0000 0.0000
Ni1 0.3750 0.3750 0.3750
Ni2 0.6250 0.6250 0.6250
O1 0.2227 0.7591 0.7591
O2 0.2409 0.2409 0.2409
O3 0.2409 0.2409 0.7773
O4 0.2409 0.7773 0.2409
O5 0.7591 0.2227 0.7591
O6 0.7591 0.7591 0.2227
O7 0.7591 0.7591 0.7591
O8 0.7773 0.2409 0.2409

Peak list (12 most intense, 15 to 90 degrees two-theta, by angle)
| 2θ (°) | d/Å | I/Imax |
| --- | --- | --- |
| 18.12 | 4.896 | 7 |
| 29.80 | 2.998 | 32 |
| 35.10 | 2.557 | 100 |
| 36.71 | 2.448 | 8 |
| 42.65 | 2.120 | 17 |
| 52.89 | 1.731 | 11 |
| 56.38 | 1.632 | 35 |
| 61.90 | 1.499 | 44 |
| 73.19 | 1.293 | 10 |
| 74.17 | 1.278 | 4 |
| 85.74 | 1.133 | 5 |
| 88.58 | 1.104 | 17 |

=====

Starting from DFT lattice parameters and positions (PBE+U), the PXRD pattern of Li2Ni3O6 was simulated for CuKα.

Crystal structure
Cell lengths 4.9673, 4.9673, 5.1217 Å; angles 99.44, 99.44, 119.94 degrees
Element x y z (fractional)
Li1 0.1708 0.8292 0.0000
Li2 0.8292 0.1708 0.0000
Ni1 0.0000 0.0000 0.5000
Ni2 0.3350 0.6650 0.5000
Ni3 0.6650 0.3350 0.5000
O1 0.0521 0.4080 0.7154
O2 0.2551 0.2551 0.2967
O3 0.4080 0.0521 0.7154
O4 0.5920 0.9479 0.2846
O5 0.7449 0.7449 0.7033
O6 0.9479 0.5920 0.2846

Peak list (12 most intense, 15 to 90 degrees two-theta, by angle)
| 2θ (°) | d/Å | I/Imax |
| --- | --- | --- |
| 18.33 | 4.839 | 100 |
| 36.70 | 2.449 | 36 |
| 37.16 | 2.419 | 5 |
| 38.29 | 2.351 | 12 |
| 44.06 | 2.055 | 19 |
| 44.24 | 2.048 | 38 |
| 48.16 | 1.889 | 8 |
| 58.00 | 1.590 | 10 |
| 63.42 | 1.467 | 10 |
| 63.62 | 1.463 | 5 |
| 65.02 | 1.434 | 15 |
| 68.24 | 1.374 | 9 |

=====

Starting from DFT lattice parameters and positions (PBE+U), the PXRD pattern of V2NO5 was simulated for CuKα.

Crystal structure
Cell lengths 6.1120, 6.1120, 11.6552 Å; angles 91.90, 91.90, 34.89 degrees
Element x y z (fractional)
V1 0.0700 0.0700 0.1580
V2 0.2209 0.2209 0.8390
V3 0.7791 0.7791 0.1610
V4 0.9300 0.9300 0.8420
N1 0.4553 0.4553 0.4815
N2 0.5447 0.5447 0.5185
O1 0.0611 0.0611 0.2944
O2 0.0778 0.0778 0.8989
O3 0.2027 0.2027 0.7027
O4 0.2414 0.2414 0.1255
O5 0.3924 0.3924 0.8720
O6 0.6076 0.6076 0.1280
O7 0.7586 0.7586 0.8745
O8 0.7973 0.7973 0.2973
O9 0.9222 0.9222 0.1011
O10 0.9389 0.9389 0.7056

Peak list (12 most intense, 15 to 90 degrees two-theta, by angle)
| 2θ (°) | d/Å | I/Imax |
| --- | --- | --- |
| 15.21 | 5.824 | 55 |
| 17.25 | 5.141 | 29 |
| 22.90 | 3.883 | 100 |
| 25.48 | 3.496 | 45 |
| 26.70 | 3.339 | 54 |
| 29.67 | 3.011 | 35 |
| 30.70 | 2.912 | 29 |
| 31.39 | 2.850 | 28 |
| 31.92 | 2.804 | 24 |
| 34.33 | 2.612 | 32 |
| 46.77 | 1.942 | 27 |
| 49.76 | 1.832 | 27 |